Record 1
Diffraction record for Cs2YCl5. The powder diffraction line list is simulated, not measured: it uses a crystal structure in the Materials Project, relaxed with PBE and λ = 1.5418 Å (Cu Kα).
Lines closer than 0.1° are merged.

The 10 most intense peaks (10 to 90 degrees two-theta), by intensity:
| two_theta | I_rel | (hkl) |
| --- | --- | --- |
| 20.72 | 100 | 0 1 3 |
| 31.91 | 67 | 2 2 2 |
| 23.39 | 57 | 0 2 0 |
| 21.39 | 51 | 2 0 2 |
| 34.49 | 49 | 0 0 6 |
| 30.11 | 44 | 1 0 5 |
| 30.27 | 44 | 2 2 1 |
| 47.43 | 37 | 4 2 3 |
| 22.29 | 37 | 2 1 1 |
| 38.49 | 35 | 4 1 0 |

Crystal structure
```
Cs2YCl5
1.0
9.8221 0.0000 0.0000
0.0000 7.6054 0.0000
0.0000 0.0000 15.5682
Cs Y Cl
8 4 20
Cartesian
0.2377 1.9014 3.3046 Cs
1.6141 5.7041 6.4926 Cs
3.2969 1.9014 14.2766 Cs
4.6733 5.7041 11.0887 Cs
5.1488 1.9014 4.4795 Cs
6.5252 5.7041 1.2915 Cs
8.2080 1.9014 9.0756 Cs
9.5843 5.7041 12.2635 Cs
1.7318 5.7041 1.0048 Y
3.1792 1.9014 8.7889 Y
6.6429 5.7041 6.7793 Y
8.0903 1.9014 14.5634 Y
0.0000 0.0000 0.0000 Cl
0.0000 3.8027 0.0000 Cl
0.2069 5.7041 3.1089 Cl
1.6587 3.8121 9.6131 Cl
1.6587 7.5961 9.6131 Cl
2.1066 1.9014 6.3616 Cl
2.8045 5.7041 14.1457 Cl
3.2523 0.0094 1.8290 Cl
3.2523 3.7934 1.8290 Cl
4.7042 1.9014 10.8930 Cl
4.9110 0.0000 7.7841 Cl
4.9110 3.8027 7.7841 Cl
5.1179 5.7041 4.6752 Cl
6.5698 3.8121 13.7392 Cl
6.5698 7.5961 13.7392 Cl
7.0176 1.9014 1.4225 Cl
7.7155 5.7041 9.2065 Cl
8.1634 0.0094 5.9551 Cl
8.1634 3.7934 5.9551 Cl
9.6152 1.9014 12.4593 Cl
```



Record 2
Diffraction record for MgMn2S4. The powder diffraction line list is simulated, not measured: it uses a crystal structure in the Materials Project, relaxed with PBE and λ = 1.5418 Å (Cu Kα).
Lines closer than 0.1° are merged.

The 10 most intense peaks (10 to 90 degrees two-theta), by intensity:
| two_theta | I_rel | (hkl) |
| --- | --- | --- |
| 42.02 | 100 | 2 1 -1 |
| 33.35 | 77 | 1 1 1 |
| 20.01 | 76 | 1 0 -1 |
| 50.72 | 71 | 0 1 3 |
| 20.64 | 70 | 1 0 1 |
| 42.68 | 68 | 2 1 1 |
| 31.49 | 40 | 1 0 -2 |
| 40.67 | 37 | 2 0 -2 |
| 53.32 | 31 | 0 2 0 |
| 52.77 | 29 | 3 1 0 |

Crystal structure
```
MgMn2S4
1.0
6.0322 0.0000 0.0000
0.0000 3.4363 0.0000
-0.1922 0.0000 6.3389
Mg Mn S
1 2 4
Cartesian
0.0000 0.0000 0.0000 Mg
-0.0961 1.7181 3.1694 Mn
3.0161 0.0000 0.0000 Mn
1.1087 0.0000 4.2167 S
1.7236 1.7181 1.0320 S
4.1164 1.7181 5.3069 S
4.7313 0.0000 2.1221 S
```



Record 3
Diffraction record for Ce19Ga13. The powder diffraction line list is simulated, not measured: it uses a crystal structure in the Materials Project, relaxed with PBE and λ = 1.5418 Å (Cu Kα).
Lines closer than 0.1° are merged.

The 10 most intense peaks (10 to 90 degrees two-theta), by intensity:
| two_theta | I_rel | (hkl) |
| --- | --- | --- |
| 33.48 | 100 | 1 2 3 |
| 34.20 | 52 | 3 1 0 |
| 51.20 | 20 | 1 4 3 |
| 37.85 | 18 | 2 0 4 |
| 30.49 | 14 | 2 2 0 |
| 65.22 | 12 | 5 2 3 |
| 59.38 | 11 | 3 1 6 |
| 26.42 | 11 | 2 0 2 |
| 49.15 | 11 | 2 4 0 |
| 46.99 | 10 | 0 0 6 |

Crystal structure
```
Ce19Ga13
1.0
8.2919 0.0000 0.0000
0.0000 8.2919 0.0000
0.0000 0.0000 11.6031
Ce Ga
19 13
Cartesian
0.0000 0.0000 1.8905 Ce
0.0000 0.0000 7.6893 Ce
1.3784 5.5342 5.7666 Ce
1.3772 5.5329 9.5707 Ce
1.5204 2.8326 0.0000 Ce
1.5286 2.8376 3.7261 Ce
2.7576 1.3784 5.7666 Ce
2.7589 1.3772 9.5707 Ce
2.8376 6.7633 3.7261 Ce
2.8326 6.7715 0.0000 Ce
4.1459 4.1459 7.7022 Ce
5.4593 1.5204 0.0000 Ce
5.4542 1.5286 3.7261 Ce
5.5342 6.9134 5.7666 Ce
5.5329 6.9147 9.5707 Ce
6.7633 5.4542 3.7261 Ce
6.7715 5.4593 0.0000 Ce
6.9134 2.7576 5.7666 Ce
6.9147 2.7589 9.5707 Ce
0.0000 0.0000 4.7898 Ga
0.0000 0.0000 10.5893 Ga
0.9447 5.2513 1.8643 Ga
1.0726 3.0896 7.6716 Ga
3.0405 0.9447 1.8643 Ga
3.0896 7.2193 7.6716 Ga
4.1459 4.1459 1.8677 Ga
4.1459 4.1459 4.6764 Ga
4.1459 4.1459 10.7047 Ga
5.2023 1.0726 7.6716 Ga
5.2513 7.3472 1.8643 Ga
7.2193 5.2023 7.6716 Ga
7.3472 3.0405 1.8643 Ga
```